[1]
# MgTaB4
Simulated X-ray powder pattern, Cu Ka. Input: a cell relaxed with GGA-PBE.
Intensities are scaled so that the largest is 100.

Structure:
a b c (Å): 3.0451 3.0451 7.0198
angles (deg): 90.00 90.00 120.00
Space group P6/mmm (No. 191)
Asymmetric unit:
Mg 0.0000 0.0000 0.0000 x1
Ta 0.0000 0.0000 0.5000 x1
B 0.3333 0.6667 0.2562 x4

Principal peaks in the range 2θ = 10–90°, by angle:
two_theta, I_rel, (hkl)
12.6, 100, 0 0 1
25.4, 24, 0 0 2
34.0, 44, 1 0 0
36.4, 48, 1 0 1
42.9, 63, 1 0 2
52.3, 18, 1 0 3
60.8, 12, 1 1 0
63.7, 15, 1 0 4

=====

[2]
# Er5TlTe4
Simulated X-ray powder pattern, Cu Ka. Input: a cell relaxed with GGA-PBE.
Intensities are scaled so that the largest is 100.

Structure:
a b c (Å): 9.708 9.708 6.119
angles (deg): 90.00 90.00 90.00
Space group I4/m (No. 87)
Asymmetric unit:
Er 0.000 0.000 0.000 x2
Er 0.099 0.290 0.500 x8
Tl 0.000 0.000 0.500 x2
Te 0.095 0.303 0.000 x8

Principal peaks in the range 2θ = 10–90°, by angle:
two_theta, I_rel, (hkl)
29.1, 100, 0 0 2
41.7, 76, 1 3 2
51.6, 27, 4 2 2
60.3, 8, 2 6 0
68.4, 23, 2 6 2
68.5, 12, 1 3 4
76.0, 17, 7 1 2
76.1, 9, 4 2 4

=====

[3]
# Re3Sn2Pt2
Simulated X-ray powder pattern, Cu Ka. Input: a cell relaxed with GGA-PBE.
Intensities are scaled so that the largest is 100.

Structure:
a b c (Å): 4.3772 4.3772 15.9988
angles (deg): 90.00 90.00 120.00
Space group P6_3/mmc (No. 194)
Asymmetric unit:
Re 0.0000 0.0000 0.1738 x4
Re 0.3333 0.6667 0.2500 x2
Sn 0.3333 0.6667 0.5757 x4
Pt 0.0000 0.0000 0.0000 x2
Pt 0.3333 0.6667 0.7500 x2

Principal peaks in the range 2θ = 10–90°, by angle:
two_theta, I_rel, (hkl)
11.1, 35, 0 0 2
23.5, 19, 1 0 0
41.2, 97, 1 1 0
41.4, 100, 1 0 6
59.9, 34, 2 0 6
75.2, 17, 3 0 0
75.3, 35, 2 1 6
85.2, 22, 1 1 12

=====

[4]
# Fe2SnCl6
Simulated X-ray powder pattern, Cu Ka. Input: a cell relaxed with GGA-PBE.
Intensities are scaled so that the largest is 100.

Structure:
a b c (Å): 6.632 10.166 7.210
angles (deg): 90.00 109.67 90.00
Space group Cm (No. 8)
Asymmetric unit:
Fe 0.000 0.125 0.000 x4
Sn 0.288 0.000 0.521 x2
Cl 0.022 0.180 0.326 x4
Cl 0.136 0.312 0.875 x4
Cl 0.336 0.000 0.144 x2
Cl 0.459 0.500 0.704 x2

Principal peaks in the range 2θ = 10–90°, by angle:
two_theta, I_rel, (hkl)
16.7, 100, 1 1 0
18.0, 79, 1 1 -1
21.8, 36, 0 2 1
26.8, 32, 1 1 -2
30.0, 50, 1 3 0
31.7, 55, 0 2 2
33.7, 35, 2 2 0
44.4, 37, 3 1 0